Structure and calculated X-ray diffraction stick pattern of LaAlCd (a DFT-relaxed cell (PBE, Alexandria); Cu Kα, 1.54184 Å).

Structure:
a b c (Å): 10.6580 4.4447 7.4939
angles (deg): 90.00 114.32 90.00
Positions (direct):
La: 0.0000 0.0000 0.0000
La: 0.2232 0.5000 0.4276
La: 0.5000 0.5000 0.0000
La: 0.7232 0.0000 0.4276
Al: 0.2115 0.5000 0.0084
Al: 0.3542 0.0000 0.2071
Al: 0.7115 0.0000 0.0084
Al: 0.8542 0.5000 0.2071
Cd: 0.2227 0.0000 0.7634
Cd: 0.4829 0.0000 0.6309
Cd: 0.7227 0.5000 0.7634
Cd: 0.9829 0.5000 0.6309

Top 10 peaks for 2θ from 10° to 90°, in order of rising 2θ:
(hkl)  two_theta  d/Å  I/Imax
0 0 1  13.0  6.829  21
1 1 1  27.5  3.243  100
1 1 -2  31.3  2.861  29
3 1 -1  32.3  2.771  74
3 1 -2  35.6  2.521  42
2 0 -3  36.0  2.493  33
4 0 0  37.0  2.428  31
1 1 2  37.3  2.412  32
0 2 0  40.6  2.222  32
2 2 -3  55.4  1.659  19